This entry pairs a crystal structure of Li2CuNiGe2 with its computed X-ray powder pattern. Radiation: Cu Kα (weighted mean of Kα1 and Kα2). Structure: DFT lattice parameters and positions (PBE).

Cell and atoms:
```
data_Li2CuNiGe2
_chemical_formula_sum 'Li8 Cu4 Ni4 Ge8'
_symmetry_space_group_name_H-M 'I b a m'
_symmetry_Int_Tables_number 72
_symmetry_space_group_name_Hall '-I 2 2c'
_cell_length_a 5.696
_cell_length_b 11.835
_cell_length_c 5.614
_cell_angle_alpha 90.00
_cell_angle_beta 90.00
_cell_angle_gamma 90.00
loop_
_atom_site_label
_atom_site_type_symbol
_atom_site_fract_x
_atom_site_fract_y
_atom_site_fract_z
Li1 Li 0.246 0.157 0.000
Cu1 Cu 0.000 0.000 0.250
Ni1 Ni 0.000 0.500 0.250
Ge1 Ge 0.235 0.386 0.000
```

Peak list (12 most intense, 10 to 90 degrees two-theta, in order of falling intensity)
d_spacing	two_theta	Rel. int.
5.917	14.97	100.0
3.313	26.91	82.6
2.052	44.14	44.3
2.036	44.49	44.1
1.999	45.37	43.5
1.894	48.04	19.4
2.566	34.96	14.8
2.536	35.39	14.2
1.158	83.44	12.7
1.167	82.69	12.3
1.769	51.68	12.2
1.703	53.85	11.8